Record 1
Calculated powder XRD pattern
Compound: Sr2In9Ag6
Radiation: Cu Kα X-rays
Structure: a cell relaxed with GGA-PBE

Structural model:
```
Sr2In9Ag6
1.0
6.136 0.000 0.000
-3.068 5.314 0.000
0.000 0.000 13.974
Sr In Ag
2 9 6
direct
0.000 0.000 0.164
0.000 0.000 0.836
0.000 0.500 0.000
0.000 0.500 0.336
0.000 0.500 0.664
0.500 0.000 0.000
0.500 0.000 0.336
0.500 0.000 0.664
0.500 0.500 0.000
0.500 0.500 0.336
0.500 0.500 0.664
0.333 0.667 0.168
0.333 0.667 0.500
0.333 0.667 0.832
0.667 0.333 0.168
0.667 0.333 0.500
0.667 0.333 0.832
```

Top 6 peaks for 2θ = 10–90°, sorted by position:
| 2θ (°) | intensity |
| --- | --- |
| 16.7 | 57 |
| 33.7 | 30 |
| 35.0 | 100 |
| 38.7 | 32 |
| 39.0 | 75 |
| 74.0 | 26 |

Record 2
Calculated powder XRD pattern
Compound: Sr2InAg7
Radiation: Cu Kα X-rays
Structure: a cell relaxed with GGA-PBE

Structural model:
```
Sr2InAg7
1.0
4.470 0.000 0.000
0.000 4.470 0.000
0.000 0.000 12.319
Sr In Ag
2 1 7
direct
0.000 0.500 0.241
0.500 0.000 0.759
0.000 0.000 0.500
0.000 0.000 0.000
0.000 0.500 0.643
0.000 0.500 0.863
0.500 0.000 0.137
0.500 0.000 0.357
0.500 0.500 0.000
0.500 0.500 0.500
```

Top 6 peaks for 2θ = 10–90°, sorted by position:
| 2θ (°) | intensity |
| --- | --- |
| 29.5 | 36 |
| 31.8 | 100 |
| 40.4 | 59 |
| 40.9 | 47 |
| 41.9 | 32 |
| 59.6 | 22 |

Record 3
Calculated powder XRD pattern
Compound: SrYInAg
Radiation: Cu Kα X-rays
Structure: a cell relaxed with GGA-PBE

Structural model:
```
SrYInAg
1.0
0.000 3.846 3.846
3.846 0.000 3.846
3.846 3.846 0.000
Sr Y In Ag
1 1 1 1
direct
0.000 0.000 0.000
0.500 0.500 0.500
0.250 0.250 0.250
0.750 0.750 0.750
```

Top 6 peaks for 2θ = 10–90°, sorted by position:
| 2θ (°) | intensity |
| --- | --- |
| 32.9 | 100 |
| 47.3 | 18 |
| 58.8 | 36 |
| 69.1 | 11 |
| 78.7 | 15 |
| 87.9 | 4 |